(1)
The following is a calculated powder XRD pattern of NbPb2O4F. It was derived from a structure optimized by DFT (GGA-PBE), using CuKα.
No peak broadening, texture or thermal motion is included.

Principal peaks in the range 10 to 90 degrees two-theta, in order of rising 2θ:
d 3.644, 2θ 24.43, I 100.0
d 3.243, 2θ 27.51, I 65.6
d 2.975, 2θ 30.03, I 77.7
d 2.624, 2θ 34.17, I 33.9
d 2.525, 2θ 35.56, I 74.3
d 1.770, 2θ 51.64, I 31.9

Structural model:
```
data_NbPb2O4F
_chemical_formula_sum 'Nb1 Pb2 O4 F1'
_symmetry_space_group_name_H-M 'P 1'
_symmetry_Int_Tables_number 1
_cell_length_a 6.2231
_cell_length_b 6.2231
_cell_length_c 7.3315
_cell_angle_alpha 119.88
_cell_angle_beta 119.88
_cell_angle_gamma 30.31
loop_
_symmetry_equiv_pos_as_xyz
'x,y,z'
loop_
_atom_site_label
_atom_site_type_symbol
_atom_site_fract_x
_atom_site_fract_y
_atom_site_fract_z
_atom_site_occupancy
Nb1 Nb 0.0000 0.0000 0.0000 1
Pb1 Pb 0.1901 0.1901 0.6688 1
Pb2 Pb 0.8099 0.8099 0.3312 1
O1 O 0.1495 0.1495 0.3053 1
O2 O 0.4105 0.4105 0.0480 1
O3 O 0.5895 0.5895 0.9520 1
O4 O 0.8505 0.8505 0.6947 1
F1 F 0.5000 0.5000 0.5000 1
```

=====

(2)
The following is a calculated powder XRD pattern of Pr2Y2S3. It was derived from a structure optimized by DFT (GGA-PBE), using CuKα.
No peak broadening, texture or thermal motion is included.

Principal peaks in the range 10 to 90 degrees two-theta, in order of rising 2θ:
d 3.281, 2θ 27.18, I 29.3
d 3.234, 2θ 27.58, I 57.4
d 2.854, 2θ 31.34, I 100.0
d 2.741, 2θ 32.67, I 44.3
d 1.983, 2θ 45.75, I 33.0
d 1.970, 2θ 46.07, I 33.1

Structural model:
```
data_Pr2Y2S3
_chemical_formula_sum 'Pr2 Y2 S3'
_symmetry_space_group_name_H-M 'P 1'
_symmetry_Int_Tables_number 1
_cell_length_a 6.9585
_cell_length_b 6.9585
_cell_length_c 6.8561
_cell_angle_alpha 102.09
_cell_angle_beta 102.09
_cell_angle_gamma 33.46
loop_
_symmetry_equiv_pos_as_xyz
'x,y,z'
loop_
_atom_site_label
_atom_site_type_symbol
_atom_site_fract_x
_atom_site_fract_y
_atom_site_fract_z
_atom_site_occupancy
Pr1 Pr 0.1232 0.1232 0.3621 1
Pr2 Pr 0.8768 0.8768 0.6379 1
Y1 Y 0.3698 0.3698 0.1326 1
Y2 Y 0.6302 0.6302 0.8674 1
S1 S 0.2461 0.2461 0.7588 1
S2 S 0.5000 0.5000 0.5000 1
S3 S 0.7539 0.7539 0.2412 1
```